# PtRh3
Simulated PXRD pattern, CuKα. Input: a PBE-relaxed structure.
Kinematic intensities with the Lorentz-polarization factor, no thermal factor.

Peak list (9 most intense, 10° ≤ 2θ ≤ 80°, in order of falling intensity)
- 40.21 deg, I 100, (1 1 1)
- 46.77 deg, I 49, (2 0 0)
- 68.30 deg, I 31, (2 2 0)
- 22.90 deg, I 9, (1 0 0)
- 32.60 deg, I 7, (1 1 0)
- 52.69 deg, I 4, (2 1 0)
- 58.18 deg, I 3, (2 1 1)
- 73.08 deg, I 2, (3 0 0)
- 77.75 deg, I 1, (3 1 0)

Crystal structure
Unit cell a=3.8843 b=3.8843 c=3.8843 alpha=90.00 beta=90.00 gamma=90.00
Space group Pm-3m (No. 221)
Unique sites:
Pt: 0.0000 0.0000 0.0000 [1 per cell]
Rh: 0.0000 0.5000 0.5000 [3 per cell]

---

# Ce3TiSb5
Simulated PXRD pattern, CuKα. Input: a PBE-relaxed structure.
Kinematic intensities with the Lorentz-polarization factor, no thermal factor.

Peak list (12 most intense, 10° ≤ 2θ ≤ 80°, in order of falling intensity)
- 34.60 deg, I 100, (1 1 2)
- 32.64 deg, I 91, (2 1 1)
- 33.26 deg, I 84, (3 0 0)
- 48.75 deg, I 27, (2 2 2)
- 53.32 deg, I 22, (2 1 3)
- 69.70 deg, I 19, (3 0 4)
- 42.87 deg, I 18, (3 1 1)
- 28.64 deg, I 17, (0 0 2)
- 51.41 deg, I 15, (3 2 1)
- 29.24 deg, I 14, (2 1 0)
- 66.09 deg, I 12, (5 1 1)
- 62.62 deg, I 11, (4 2 1)

Crystal structure
Unit cell a=9.3324 b=9.3324 c=6.2346 alpha=90.00 beta=90.00 gamma=120.00
Space group P6_3/mcm (No. 193)
Unique sites:
Ce: 0.0000 0.3818 0.2500 [6 per cell]
Ti: 0.0000 0.0000 0.0000 [2 per cell]
Sb: 0.0000 0.2578 0.7500 [6 per cell]
Sb: 0.3333 0.6667 0.0000 [4 per cell]

---

# CaAl2Si2H4O10
Simulated PXRD pattern, CuKα. Input: a PBE-relaxed structure.
Kinematic intensities with the Lorentz-polarization factor, no thermal factor.

Peak list (12 most intense, 10° ≤ 2θ ≤ 80°, in order of falling intensity)
- 32.57 deg, I 100, (1 1 4)
- 33.70 deg, I 80, (0 2 4)
- 58.98 deg, I 78, (2 4 4)
- 36.53 deg, I 74, (2 2 0)
- 42.05 deg, I 74, (2 2 3)
- 33.82 deg, I 68, (1 3 0)
- 24.08 deg, I 63, (0 2 2)
- 33.24 deg, I 53, (2 0 2)
- 18.04 deg, I 52, (1 1 0)
- 63.02 deg, I 40, (4 0 0)
- 13.35 deg, I 32, (0 0 2)
- 30.30 deg, I 31, (2 0 0)

Crystal structure
Unit cell a=5.8993 b=8.9013 c=13.2660 alpha=90.00 beta=90.00 gamma=90.00
Space group Cmcm (No. 63)
Unique sites:
Ca: 0.0000 0.1642 0.2500 [4 per cell]
Al: 0.2500 0.2500 0.0000 [8 per cell]
Si: 0.0000 0.4820 0.6326 [8 per cell]
H: 0.0000 0.0350 0.5634 [8 per cell]
H: 0.0000 0.1626 0.6879 [8 per cell]
O: 0.0000 0.1020 0.7500 [4 per cell]
O: 0.0000 0.1434 0.5521 [8 per cell]
O: 0.0000 0.3605 0.0652 [8 per cell]
O: 0.0000 0.4511 0.2500 [4 per cell]
O: 0.2291 0.3815 0.6152 [16 per cell]